(1)
Calculated X-ray diffraction stick pattern
Compound: KAg5S3
Radiation: Cu Kα X-rays
Structure: the PBE geometry in the Materials Project
Peak positions follow from Bragg's law for the DFT cell and can differ from measured ones.

```
KAg5S3
1.0
13.5289 0.0000 0.0000
-6.7645 11.7164 0.0000
0.0000 0.0000 8.0548
K Ag S
6 30 18
Direct
0.0000 0.0000 0.0000
0.0000 0.0000 0.5000
0.3333 0.6667 0.0015
0.3333 0.6667 0.4985
0.6667 0.3333 0.5015
0.6667 0.3333 0.9985
0.0000 0.5352 0.0000
0.0000 0.5352 0.5000
0.0025 0.3681 0.7500
0.0049 0.7070 0.7500
0.1496 0.3337 0.0013
0.1496 0.3337 0.4987
0.1841 0.8504 0.0013
0.1841 0.8504 0.4987
0.2930 0.2979 0.7500
0.2979 0.2930 0.2500
0.3337 0.1496 0.5013
0.3337 0.1496 0.9987
0.3656 0.9975 0.7500
0.3681 0.0025 0.2500
0.4648 0.4648 0.0000
0.4648 0.4648 0.5000
0.5352 0.0000 0.0000
0.5352 0.0000 0.5000
0.6319 0.6344 0.7500
0.6344 0.6319 0.2500
0.6663 0.8159 0.0013
0.6663 0.8159 0.4987
0.7021 0.9951 0.7500
0.7070 0.0049 0.2500
0.8159 0.6663 0.5013
0.8159 0.6663 0.9987
0.8504 0.1841 0.5013
0.8504 0.1841 0.9987
0.9951 0.7021 0.2500
0.9975 0.3656 0.2500
0.0846 0.2192 0.2500
0.1140 0.5813 0.2500
0.1345 0.9154 0.2500
0.2192 0.0846 0.7500
0.2212 0.7760 0.7500
0.2240 0.4452 0.7500
0.4187 0.5326 0.2500
0.4452 0.2240 0.2500
0.4674 0.8860 0.2500
0.5326 0.4187 0.7500
0.5548 0.7788 0.7500
0.5813 0.1140 0.7500
0.7760 0.2212 0.2500
0.7788 0.5548 0.2500
0.7808 0.8655 0.2500
0.8655 0.7808 0.7500
0.8860 0.4674 0.7500
0.9154 0.1345 0.7500
```

Largest 10 diffraction maxima, sorted by position, 5° ≤ 2θ ≤ 70°:
2θ (°)	I/Imax
13.1	84
26.4	33
30.0	17
31.9	23
34.6	100
35.5	25
43.0	17
45.0	19
46.1	21
46.5	14

(2)
Calculated X-ray diffraction stick pattern
Compound: K2Ag3Sb3S7
Radiation: Cu Kα X-rays
Structure: the PBE geometry in the Materials Project
Peak positions follow from Bragg's law for the DFT cell and can differ from measured ones.

```
K2Ag3Sb3S7
1.0
12.6837 -4.5860 0.0000
12.6837 4.5860 0.0000
0.0000 0.0000 6.9205
K Ag Sb S
4 6 6 14
Direct
0.0163 0.3973 0.0000
0.3973 0.0163 0.5000
0.6027 0.9837 0.0000
0.9837 0.6027 0.5000
0.0829 0.0975 0.4423
0.0975 0.0829 0.9423
0.1798 0.8202 0.1885
0.8202 0.1798 0.6885
0.9025 0.9171 0.4423
0.9171 0.9025 0.9423
0.2621 0.4818 0.0001
0.3418 0.6582 0.6436
0.4818 0.2621 0.5001
0.5182 0.7379 0.0001
0.6582 0.3418 0.1436
0.7379 0.5182 0.5001
0.0179 0.3237 0.5055
0.1189 0.8811 0.8423
0.1933 0.6581 0.4335
0.3058 0.3178 0.7420
0.3178 0.3058 0.2420
0.3237 0.0179 0.0055
0.3419 0.8067 0.4335
0.6581 0.1933 0.9335
0.6763 0.9821 0.5055
0.6822 0.6942 0.7420
0.6942 0.6822 0.2420
0.8067 0.3419 0.9335
0.8811 0.1189 0.3423
0.9821 0.6763 0.0055
```

Largest 10 diffraction maxima, sorted by position, 5° ≤ 2θ ≤ 70°:
2θ (°)	I/Imax
7.0	100
23.9	23
24.3	20
25.7	18
27.2	37
29.4	69
33.5	22
34.2	23
37.2	17
49.2	20